LaSmCu2Si2: computed X-ray diffraction stick pattern (Cu Kα (weighted mean of Kα1 and Kα2)), based on a GGA-PBE-relaxed structure.
Lines closer than 0.1° are merged.

Top 6 peaks for 10° ≤ 2θ ≤ 80°, by intensity:
(1 0 2), 33.2°, intensity 100.0
(1 1 0), 42.8°, intensity 38.9
(1 0 0), 24.3°, intensity 26.3
(0 2 2), 55.2°, intensity 23.0
(1 1 4), 64.2°, intensity 21.6
(2 1 2), 72.3°, intensity 20.3

Cell and atoms:
a b c (Å): 4.2272 4.2272 7.9754
angles (deg): 90.00 90.00 120.00
Positions (direct):
La 0.0000 0.0000 0.0000
Sm 0.0000 0.0000 0.5000
Cu 0.3333 0.6667 0.2642
Cu 0.6667 0.3333 0.7358
Si 0.3333 0.6667 0.7405
Si 0.6667 0.3333 0.2595